Theoretical powder X-ray diffraction pattern of GaBr2 for Cu Kα (λ = 1.5418 Å), from a structure optimized by DFT (GGA-PBE).
Peak positions follow from Bragg's law for the DFT cell and can differ from measured ones.

Structural model:
Unit cell a=12.985 b=12.985 c=12.985 alpha=115.05 beta=115.05 gamma=115.05
Atoms (fractional coordinates):
Ga: 0.015 0.628 0.799
Ga: 0.046 0.826 0.628
Ga: 0.128 0.326 0.546
Ga: 0.128 0.515 0.299
Ga: 0.299 0.128 0.515
Ga: 0.326 0.546 0.128
Ga: 0.515 0.299 0.128
Ga: 0.546 0.128 0.326
Ga: 0.628 0.046 0.826
Ga: 0.628 0.799 0.015
Ga: 0.799 0.015 0.628
Ga: 0.826 0.628 0.046
Br: 0.011 0.263 0.724
Br: 0.051 0.851 0.886
Br: 0.059 0.996 0.457
Br: 0.224 0.763 0.511
Br: 0.232 0.930 0.286
Br: 0.263 0.724 0.011
Br: 0.286 0.232 0.930
Br: 0.351 0.551 0.386
Br: 0.386 0.351 0.551
Br: 0.430 0.732 0.786
Br: 0.457 0.059 0.996
Br: 0.496 0.559 0.957
Br: 0.511 0.224 0.763
Br: 0.551 0.386 0.351
Br: 0.559 0.957 0.496
Br: 0.724 0.011 0.263
Br: 0.732 0.786 0.430
Br: 0.763 0.511 0.224
Br: 0.786 0.430 0.732
Br: 0.851 0.886 0.051
Br: 0.886 0.051 0.851
Br: 0.930 0.286 0.232
Br: 0.957 0.496 0.559
Br: 0.996 0.457 0.059

Principal peaks in the range 2θ = 15–90°, in order of falling intensity:
2θ = 28.84°, I = 100
2θ = 28.08°, I = 88
2θ = 31.11°, I = 81
2θ = 29.40°, I = 48
2θ = 27.64°, I = 47
2θ = 49.28°, I = 43
2θ = 31.55°, I = 36
2θ = 33.25°, I = 31
2θ = 23.71°, I = 31
2θ = 32.58°, I = 29